Record 1
Diffraction record for CePmN. The powder XRD pattern is calculated, not measured: it uses DFT lattice parameters and positions (PBE) and Cu Kα (weighted mean of Kα1 and Kα2).
Intensities are scaled so that the largest is 1000.

Principal peaks in the range 5 to 70 degrees two-theta, sorted by position:
| 2θ/deg | intensity |
| --- | --- |
| 14.0 | 110 |
| 28.1 | 252 |
| 29.0 | 186 |
| 32.3 | 1000 |
| 40.8 | 266 |
| 51.3 | 202 |
| 52.5 | 217 |
| 59.6 | 188 |
| 62.0 | 154 |
| 66.3 | 83 |

Cell and atoms:
abc: 3.560 3.560 6.346
angles: 90.00 90.00 120.00
Positions (direct):
Ce 0.000 0.000 0.000
Pm 0.333 0.667 0.562
N 0.667 0.333 0.796

Record 2
Diffraction record for Cs2ReBrCl5. The powder XRD pattern is calculated, not measured: it uses DFT lattice parameters and positions (PBE) and Cu Kα (weighted mean of Kα1 and Kα2).
Intensities are scaled so that the largest is 1000.

Principal peaks in the range 5 to 70 degrees two-theta, sorted by position:
| 2θ/deg | intensity |
| --- | --- |
| 14.3 | 1000 |
| 23.4 | 566 |
| 23.6 | 674 |
| 27.5 | 258 |
| 28.9 | 415 |
| 33.3 | 609 |
| 34.0 | 296 |
| 41.2 | 286 |
| 41.6 | 247 |
| 48.3 | 400 |

Cell and atoms:
abc: 7.539 7.539 7.539
angles: 119.38 119.38 91.08
Positions (direct):
Cs 0.000 0.500 0.500
Cs 0.500 0.000 0.500
Re 0.250 0.250 0.000
Br 0.491 0.491 0.000
Cl 0.024 0.024 0.000
Cl 0.029 0.029 0.557
Cl 0.029 0.472 0.000
Cl 0.472 0.029 0.000
Cl 0.472 0.472 0.443

Record 3
Diffraction record for NaBeHg2Rh. The powder XRD pattern is calculated, not measured: it uses DFT lattice parameters and positions (PBE) and Cu Kα (weighted mean of Kα1 and Kα2).
Intensities are scaled so that the largest is 1000.

Principal peaks in the range 5 to 70 degrees two-theta, sorted by position:
| 2θ/deg | intensity |
| --- | --- |
| 19.5 | 325 |
| 24.9 | 262 |
| 31.8 | 1000 |
| 35.5 | 455 |
| 39.7 | 168 |
| 40.8 | 214 |
| 51.1 | 162 |
| 54.3 | 270 |
| 61.5 | 312 |
| 66.5 | 147 |

Cell and atoms:
abc: 5.057 5.057 4.545
angles: 90.00 90.00 90.00
Positions (direct):
Na 0.000 0.000 0.000
Be 0.000 0.000 0.500
Hg 0.000 0.500 0.000
Hg 0.500 0.000 0.000
Rh 0.500 0.500 0.500

Record 4
Diffraction record for Ca2HoCu2S4. The powder XRD pattern is calculated, not measured: it uses DFT lattice parameters and positions (PBE) and Cu Kα (weighted mean of Kα1 and Kα2).
Intensities are scaled so that the largest is 1000.

Principal peaks in the range 5 to 70 degrees two-theta, sorted by position:
| 2θ/deg | intensity |
| --- | --- |
| 13.5 | 1000 |
| 25.1 | 174 |
| 27.1 | 154 |
| 31.0 | 578 |
| 35.0 | 400 |
| 36.1 | 583 |
| 37.6 | 434 |
| 41.2 | 233 |
| 48.9 | 199 |
| 51.2 | 180 |

Cell and atoms:
abc: 7.396 7.396 7.151
angles: 112.43 112.43 29.18
Positions (direct):
Ca 0.135 0.135 0.081
Ca 0.865 0.865 0.919
Ho 0.000 0.000 0.500
Cu 0.313 0.313 0.476
Cu 0.687 0.687 0.524
S 0.202 0.202 0.745
S 0.470 0.470 0.754
S 0.530 0.530 0.246
S 0.798 0.798 0.255